For MgSn2O4, a structure optimized by DFT (PBE) gives the calculated powder XRD pattern in this record (Cu Kα).
Neutral-atom scattering factors, no anomalous dispersion.

Principal peaks in the range 10 to 90 degrees two-theta, sorted by position:
- 16.26 deg, rel. 66, (1 1 0)
- 16.57 deg, rel. 100, (0 0 1)
- 31.65 deg, rel. 58, (2 2 -1)
- 32.15 deg, rel. 60, (1 1 -2)
- 32.87 deg, rel. 47, (2 2 0)
- 37.95 deg, rel. 36, (4 0 0)
- 38.79 deg, rel. 69, (2 2 -2)
- 55.47 deg, rel. 31, (6 2 -2)

Atomic structure:
```
data_MgSn2O4
_chemical_formula_sum 'Mg4 Sn8 O16'
_symmetry_space_group_name_H-M 'C 1 2/m 1'
_symmetry_Int_Tables_number 12
_symmetry_space_group_name_Hall '-C 2y'
_cell_length_a 11.4646
_cell_length_b 6.6596
_cell_length_c 6.4763
_cell_angle_alpha 90.00
_cell_angle_beta 124.19
_cell_angle_gamma 90.00
loop_
_atom_site_label
_atom_site_type_symbol
_atom_site_fract_x
_atom_site_fract_y
_atom_site_fract_z
_atom_site_occupancy
Mg1 Mg 0.1034 0.0000 0.3452 1
Sn1 Sn 0.0000 0.5000 0.0000 1
Sn2 Sn 0.0000 0.5000 0.5000 1
Sn3 Sn 0.2500 0.2500 0.0000 1
O1 O 0.0309 0.2352 0.7842 1
O2 O 0.2408 0.0000 0.2156 1
O3 O 0.2419 0.0000 0.7653 1
```

---

For Rb2GaAs2, a structure optimized by DFT (PBE) gives the calculated powder XRD pattern in this record (Cu Kα).
Neutral-atom scattering factors, no anomalous dispersion.

Principal peaks in the range 10 to 90 degrees two-theta, sorted by position:
- 24.91 deg, rel. 46, (1 1 2)
- 25.24 deg, rel. 49, (2 1 -3)
- 27.67 deg, rel. 36, (2 1 1)
- 29.39 deg, rel. 83, (0 4 2)
- 30.20 deg, rel. 38, (1 3 2)
- 30.50 deg, rel. 100, (1 0 -4)
- 34.25 deg, rel. 44, (0 0 4)
- 35.87 deg, rel. 44, (2 5 -1)

Atomic structure:
```
data_Rb2GaAs2
_chemical_formula_sum 'Rb16 Ga8 As16'
_symmetry_space_group_name_H-M 'P 1 21/c 1'
_symmetry_Int_Tables_number 14
_symmetry_space_group_name_Hall '-P 2ybc'
_cell_length_a 9.2360
_cell_length_b 14.9239
_cell_length_c 11.8886
_cell_angle_alpha 90.00
_cell_angle_beta 118.23
_cell_angle_gamma 90.00
loop_
_atom_site_label
_atom_site_type_symbol
_atom_site_fract_x
_atom_site_fract_y
_atom_site_fract_z
_atom_site_occupancy
Rb1 Rb 0.0076 0.1171 0.0694 1
Rb2 Rb 0.0908 0.6306 0.9066 1
Rb3 Rb 0.2949 0.1136 0.4770 1
Rb4 Rb 0.4865 0.1291 0.9644 1
Ga1 Ga 0.3565 0.7163 0.7427 1
Ga2 Ga 0.4989 0.0583 0.2567 1
As1 As 0.1275 0.6904 0.2125 1
As2 As 0.2298 0.5353 0.2210 1
As3 As 0.2972 0.5549 0.7397 1
As4 As 0.3935 0.2113 0.2283 1
```

---

For Ta4Co, a structure optimized by DFT (PBE) gives the calculated powder XRD pattern in this record (Cu Kα).
Neutral-atom scattering factors, no anomalous dispersion.

Principal peaks in the range 10 to 90 degrees two-theta, sorted by position:
- 33.74 deg, rel. 100, (2 2 2)
- 39.15 deg, rel. 39, (4 0 0)
- 42.83 deg, rel. 15, (3 3 1)
- 51.60 deg, rel. 20, (5 1 1)
- 56.57 deg, rel. 34, (4 4 0)
- 67.51 deg, rel. 29, (6 2 2)
- 73.48 deg, rel. 10, (5 5 1)
- 80.10 deg, rel. 9, (7 3 1)

Atomic structure:
abc: 9.2031 9.2031 9.2031
angles: 90.00 90.00 90.00
Space group Fd-3m (No. 227, origin choice 2)
Inequivalent atoms, fractional coordinates:
Ta (0.0162, 0.0162, 0.2338) (multiplicity 32)
Co (0.1250, 0.1250, 0.6250) (multiplicity 8)

---

For MnSn, a structure optimized by DFT (PBE) gives the calculated powder XRD pattern in this record (Cu Kα).
Neutral-atom scattering factors, no anomalous dispersion.

Principal peaks in the range 10 to 90 degrees two-theta, sorted by position:
- 28.12 deg, rel. 25, (1 1 1)
- 32.59 deg, rel. 100, (2 0 0)
- 46.75 deg, rel. 73, (2 2 0)
- 55.45 deg, rel. 14, (3 1 1)
- 58.15 deg, rel. 25, (2 2 2)
- 68.27 deg, rel. 12, (4 0 0)
- 77.71 deg, rel. 33, (4 2 0)
- 86.82 deg, rel. 25, (4 2 2)

Atomic structure:
```
data_MnSn
_chemical_formula_sum 'Mn4 Sn4'
_symmetry_space_group_name_H-M 'F m -3 m'
_symmetry_Int_Tables_number 225
_symmetry_space_group_name_Hall '-F 4 2 3'
_cell_length_a 5.4956
_cell_length_b 5.4956
_cell_length_c 5.4956
_cell_angle_alpha 90.00
_cell_angle_beta 90.00
_cell_angle_gamma 90.00
loop_
_atom_site_label
_atom_site_type_symbol
_atom_site_fract_x
_atom_site_fract_y
_atom_site_fract_z
_atom_site_occupancy
Mn1 Mn 0.0000 0.0000 0.0000 1
Sn1 Sn 0.0000 0.0000 0.5000 1
```

---

For Nd2Si5Ni3, a structure optimized by DFT (PBE) gives the calculated powder XRD pattern in this record (Cu Kα).
Neutral-atom scattering factors, no anomalous dispersion.

Principal peaks in the range 10 to 90 degrees two-theta, sorted by position:
- 23.73 deg, rel. 41, (1 2 1)
- 30.98 deg, rel. 23, (0 0 2)
- 35.52 deg, rel. 100, (3 2 1)
- 36.24 deg, rel. 53, (2 0 2)
- 36.45 deg, rel. 50, (2 4 0)
- 44.56 deg, rel. 58, (0 4 2)
- 52.34 deg, rel. 24, (5 2 1)
- 58.09 deg, rel. 23, (3 2 3)

Atomic structure:
```
data_Nd2Si5Ni3
_chemical_formula_sum 'Nd8 Si20 Ni12'
_symmetry_space_group_name_H-M 'I b a m'
_symmetry_Int_Tables_number 72
_symmetry_space_group_name_Hall '-I 2 2c'
_cell_length_a 9.6791
_cell_length_b 11.4587
_cell_length_c 5.7727
_cell_angle_alpha 90.00
_cell_angle_beta 90.00
_cell_angle_gamma 90.00
loop_
_atom_site_label
_atom_site_type_symbol
_atom_site_fract_x
_atom_site_fract_y
_atom_site_fract_z
_atom_site_occupancy
Nd1 Nd 0.2358 0.1315 0.0000 1
Si1 Si 0.0000 0.0000 0.2500 1
Si2 Si 0.0000 0.2687 0.2500 1
Si3 Si 0.1512 0.3926 0.0000 1
Ni1 Ni 0.0000 0.5000 0.2500 1
Ni2 Ni 0.1093 0.1349 0.5000 1
```

---

For Re3As7, a structure optimized by DFT (PBE) gives the calculated powder XRD pattern in this record (Cu Kα).
Neutral-atom scattering factors, no anomalous dispersion.

Principal peaks in the range 10 to 90 degrees two-theta, sorted by position:
- 20.03 deg, rel. 17, (2 0 0)
- 24.60 deg, rel. 50, (2 1 1)
- 35.07 deg, rel. 31, (2 2 2)
- 43.30 deg, rel. 100, (3 3 0)
- 50.43 deg, rel. 20, (4 2 2)
- 62.91 deg, rel. 20, (6 0 0)
- 79.45 deg, rel. 36, (6 3 3)
- 89.91 deg, rel. 18, (7 4 1)

Atomic structure:
```
data_Re3As7
_chemical_formula_sum 'Re12 As28'
_symmetry_space_group_name_H-M 'I m -3 m'
_symmetry_Int_Tables_number 229
_symmetry_space_group_name_Hall '-I 4 2 3'
_cell_length_a 8.8644
_cell_length_b 8.8644
_cell_length_c 8.8644
_cell_angle_alpha 90.00
_cell_angle_beta 90.00
_cell_angle_gamma 90.00
loop_
_atom_site_label
_atom_site_type_symbol
_atom_site_fract_x
_atom_site_fract_y
_atom_site_fract_z
_atom_site_occupancy
Re1 Re 0.0000 0.0000 0.3404 1
As1 As 0.0000 0.2500 0.5000 1
As2 As 0.1659 0.1659 0.1659 1
```

---

For Ba6Ca3Cu6Hg3O19, a structure optimized by DFT (PBE) gives the calculated powder XRD pattern in this record (Cu Kα).
Neutral-atom scattering factors, no anomalous dispersion.

Principal peaks in the range 10 to 90 degrees two-theta, sorted by position:
- 26.89 deg, rel. 100, (3 1 1)
- 31.11 deg, rel. 100, (3 1 2)
- 32.68 deg, rel. 40, (6 0 -2)
- 32.83 deg, rel. 40, (0 2 0)
- 34.79 deg, rel. 28, (0 0 5)
- 47.00 deg, rel. 41, (6 2 -2)
- 48.47 deg, rel. 23, (6 0 3)
- 57.54 deg, rel. 18, (3 3 2)

Atomic structure:
```
data_Ba6Ca3Cu6Hg3O19
_chemical_formula_sum 'Ba12 Ca6 Cu12 Hg6 O38'
_symmetry_space_group_name_H-M 'C 1 2/m 1'
_symmetry_Int_Tables_number 12
_symmetry_space_group_name_Hall '-C 2y'
_cell_length_a 16.4436
_cell_length_b 5.4558
_cell_length_c 14.0139
_cell_angle_alpha 90.00
_cell_angle_beta 113.06
_cell_angle_gamma 90.00
loop_
_atom_site_label
_atom_site_type_symbol
_atom_site_fract_x
_atom_site_fract_y
_atom_site_fract_z
_atom_site_occupancy
Ba1 Ba 0.0692 0.0000 0.2076 1
Ba2 Ba 0.0934 0.5000 0.7807 1
Ba3 Ba 0.2396 0.5000 0.2196 1
Ca1 Ca 0.0000 0.5000 0.5000 1
Ca2 Ca 0.1661 0.0000 0.4983 1
Cu1 Cu 0.0404 0.0000 0.6225 1
Cu2 Cu 0.1255 0.5000 0.3763 1
Cu3 Cu 0.2080 0.5000 0.6225 1
Hg1 Hg 0.0000 0.5000 0.0000 1
Hg2 Hg 0.1618 0.0000 0.0000 1
O1 O 0.0000 0.0000 0.0000 1
O2 O 0.0423 0.2517 0.3790 1
O3 O 0.0532 0.5000 0.1597 1
O4 O 0.1176 0.0000 0.8416 1
O5 O 0.1242 0.2498 0.6223 1
O6 O 0.2105 0.2519 0.3789 1
O7 O 0.2232 0.0000 0.1584 1
```

---

For MgAl2SiO7, a structure optimized by DFT (PBE) gives the calculated powder XRD pattern in this record (Cu Kα).
Neutral-atom scattering factors, no anomalous dispersion.

Principal peaks in the range 10 to 90 degrees two-theta, sorted by position:
- 10.16 deg, rel. 43, (0 0 1)
- 20.40 deg, rel. 100, (0 0 2)
- 30.78 deg, rel. 26, (0 0 3)
- 32.72 deg, rel. 21, (1 1 3)
- 36.15 deg, rel. 21, (1 2 2)
- 36.43 deg, rel. 21, (1 -1 2)
- 37.18 deg, rel. 29, (2 1 -1)
- 38.38 deg, rel. 26, (0 2 1)

Atomic structure:
```
data_MgAl2SiO7
_chemical_formula_sum 'Mg2 Al4 Si2 O14'
_symmetry_space_group_name_H-M 'P -1'
_symmetry_Int_Tables_number 2
_symmetry_space_group_name_Hall '-P 1'
_cell_length_a 5.5316
_cell_length_b 5.5797
_cell_length_c 8.9516
_cell_angle_alpha 82.86
_cell_angle_beta 76.64
_cell_angle_gamma 60.38
loop_
_atom_site_label
_atom_site_type_symbol
_atom_site_fract_x
_atom_site_fract_y
_atom_site_fract_z
_atom_site_occupancy
Mg1 Mg 0.1620 0.1752 0.4979 1
Al1 Al 0.0000 0.0000 0.0000 1
Al2 Al 0.5000 0.0000 0.0000 1
Al3 Al 0.5000 0.5000 0.0000 1
Al4 Al 0.5000 0.5000 0.5000 1
Si1 Si 0.0680 0.5001 0.8118 1
O1 O 0.1331 0.5008 0.6214 1
O2 O 0.2066 0.1771 0.8745 1
O3 O 0.2101 0.6630 0.8718 1
O4 O 0.2409 0.8094 0.4033 1
O5 O 0.2787 0.3361 0.1264 1
O6 O 0.2986 0.8306 0.0967 1
O7 O 0.4480 0.8105 0.5902 1
```

---

For ErFe6Ge6, a structure optimized by DFT (PBE) gives the calculated powder XRD pattern in this record (Cu Kα).
Neutral-atom scattering factors, no anomalous dispersion.

Principal peaks in the range 10 to 90 degrees two-theta, sorted by position:
- 35.09 deg, rel. 72, (1 1 0)
- 39.00 deg, rel. 42, (1 0 3)
- 40.75 deg, rel. 51, (2 0 0)
- 41.75 deg, rel. 100, (1 1 2)
- 44.64 deg, rel. 24, (0 0 4)
- 46.72 deg, rel. 38, (2 0 2)
- 74.17 deg, rel. 28, (2 2 0)
- 80.26 deg, rel. 26, (1 1 6)

Atomic structure:
```
data_ErFe6Ge6
_chemical_formula_sum 'Er1 Fe6 Ge6'
_symmetry_space_group_name_H-M 'P 6/m m m'
_symmetry_Int_Tables_number 191
_symmetry_space_group_name_Hall '-P 6 2'
_cell_length_a 5.1141
_cell_length_b 5.1141
_cell_length_c 8.1201
_cell_angle_alpha 90.00
_cell_angle_beta 90.00
_cell_angle_gamma 120.00
loop_
_atom_site_label
_atom_site_type_symbol
_atom_site_fract_x
_atom_site_fract_y
_atom_site_fract_z
_atom_site_occupancy
Er1 Er 0.0000 0.0000 0.0000 1
Fe1 Fe 0.0000 0.5000 0.2502 1
Ge1 Ge 0.0000 0.0000 0.3462 1
Ge2 Ge 0.3333 0.6667 0.0000 1
Ge3 Ge 0.3333 0.6667 0.5000 1
```

---

For Ba2NF, a structure optimized by DFT (PBE) gives the calculated powder XRD pattern in this record (Cu Kα).
Neutral-atom scattering factors, no anomalous dispersion.

Principal peaks in the range 10 to 90 degrees two-theta, sorted by position:
- 26.31 deg, rel. 28, (0 0 6)
- 26.96 deg, rel. 87, (0 1 2)
- 31.04 deg, rel. 100, (1 0 4)
- 44.05 deg, rel. 32, (0 1 8)
- 44.88 deg, rel. 36, (1 1 0)
- 52.77 deg, rel. 25, (1 1 6)
- 55.57 deg, rel. 18, (0 2 4)
- 74.10 deg, rel. 15, (2 1 4)

Atomic structure:
```
data_Ba2NF
_chemical_formula_sum 'Ba6 N3 F3'
_symmetry_space_group_name_H-M 'R -3 m'
_symmetry_Int_Tables_number 166
_symmetry_space_group_name_Hall '-R 3 2"'
_cell_length_a 4.0392
_cell_length_b 4.0392
_cell_length_c 20.3275
_cell_angle_alpha 90.00
_cell_angle_beta 90.00
_cell_angle_gamma 120.00
loop_
_atom_site_label
_atom_site_type_symbol
_atom_site_fract_x
_atom_site_fract_y
_atom_site_fract_z
_atom_site_occupancy
Ba1 Ba 0.0000 0.0000 0.2416 1
N1 N 0.0000 0.0000 0.5000 1
F1 F 0.0000 0.0000 0.0000 1
```

---

For LiSi5O10, a structure optimized by DFT (PBE) gives the calculated powder XRD pattern in this record (Cu Kα).
Neutral-atom scattering factors, no anomalous dispersion.

Principal peaks in the range 10 to 90 degrees two-theta, sorted by position:
- 11.68 deg, rel. 100, (0 1 0)
- 12.69 deg, rel. 81, (1 0 0)
- 13.58 deg, rel. 35, (0 0 1)
- 17.95 deg, rel. 19, (0 1 1)
- 18.63 deg, rel. 21, (1 0 1)
- 22.05 deg, rel. 16, (1 1 1)
- 27.23 deg, rel. 15, (0 2 1)
- 29.04 deg, rel. 15, (2 0 1)

Atomic structure:
```
data_LiSi5O10
_chemical_formula_sum 'Li1 Si5 O10'
_symmetry_space_group_name_H-M 'P m m 2'
_symmetry_Int_Tables_number 25
_symmetry_space_group_name_Hall 'P 2 -2'
_cell_length_a 6.9732
_cell_length_b 7.5749
_cell_length_c 6.5198
_cell_angle_alpha 90.00
_cell_angle_beta 90.00
_cell_angle_gamma 90.00
loop_
_atom_site_label
_atom_site_type_symbol
_atom_site_fract_x
_atom_site_fract_y
_atom_site_fract_z
_atom_site_occupancy
Li1 Li 0.0000 0.0000 0.0000 1
Si1 Si 0.0000 0.0000 0.6331 1
Si2 Si 0.0000 0.2834 0.0175 1
Si3 Si 0.2693 0.0000 0.2550 1
O1 O 0.0000 0.1768 0.7873 1
O2 O 0.0000 0.5000 0.0150 1
O3 O 0.1848 0.1767 0.1318 1
O4 O 0.1937 0.0000 0.4927 1
O5 O 0.5000 0.0000 0.2537 1
```